Structure and computed X-ray diffraction stick pattern of Na2AlHgF6 (a cell relaxed with PBE; Cu Ka).

Largest 6 diffraction maxima, sorted by position, 2θ = 10–80°:
d [Å], Position (°2θ), intensity
4.986, 17.79, 69
4.318, 20.57, 99
3.053, 29.25, 100
2.604, 34.44, 71
2.159, 41.84, 44
1.981, 45.80, 45

Cell lengths 6.106, 6.106, 6.106 Å; angles 60.00, 60.00, 60.00 degrees
Element x y z (fractional)
Na 0.250 0.250 0.250
Na 0.750 0.750 0.750
Al 0.000 0.000 0.000
Hg 0.500 0.500 0.500
F 0.212 0.212 0.788
F 0.212 0.788 0.212
F 0.212 0.788 0.788
F 0.788 0.212 0.212
F 0.788 0.212 0.788
F 0.788 0.788 0.212



Structure and computed X-ray diffraction stick pattern of AlHg2O2F5 (a cell relaxed with PBE; Cu Ka).

Largest 6 diffraction maxima, sorted by position, 2θ = 10–80°:
d [Å], Position (°2θ), intensity
4.371, 20.32, 41
3.241, 27.52, 100
2.911, 30.71, 24
2.237, 40.32, 38
2.149, 42.04, 21
1.850, 49.26, 26

Cell lengths 7.040, 7.040, 7.040 Å; angles 112.68, 112.68, 103.23 degrees
Element x y z (fractional)
Al 0.000 0.000 0.000
Al 0.500 0.500 0.000
Hg 0.101 0.601 0.164
Hg 0.437 0.937 0.836
Hg 0.601 0.437 0.500
Hg 0.937 0.101 0.500
O 0.145 0.909 0.500
O 0.409 0.645 0.500
O 0.645 0.145 0.237
O 0.909 0.409 0.763
F 0.026 0.802 0.772
F 0.030 0.254 0.228
F 0.254 0.026 0.224
F 0.294 0.294 0.000
F 0.302 0.526 0.772
F 0.526 0.754 0.224
F 0.530 0.302 0.776
F 0.754 0.530 0.228
F 0.794 0.794 0.000
F 0.802 0.030 0.776



Structure and computed X-ray diffraction stick pattern of AlHg2O2F5 (a cell relaxed with PBE; Cu Ka).

Largest 6 diffraction maxima, sorted by position, 2θ = 10–80°:
d [Å], Position (°2θ), intensity
6.324, 14.00, 58
3.701, 24.05, 34
3.519, 25.31, 100
3.194, 27.93, 63
2.352, 38.27, 96
1.749, 52.30, 37

Cell lengths 7.328, 7.328, 7.328 Å; angles 104.78, 104.78, 119.33 degrees
Element x y z (fractional)
Al 0.000 0.000 0.000
Al 0.500 0.500 0.000
Hg 0.126 0.626 0.291
Hg 0.336 0.836 0.709
Hg 0.626 0.336 0.500
Hg 0.836 0.126 0.500
O 0.423 0.481 0.500
O 0.481 0.981 0.058
O 0.923 0.423 0.942
O 0.981 0.923 0.500
F 0.041 0.201 0.241
F 0.201 0.959 0.160
F 0.251 0.251 0.000
F 0.300 0.459 0.759
F 0.459 0.701 0.160
F 0.541 0.300 0.840
F 0.701 0.541 0.241
F 0.751 0.751 0.000
F 0.800 0.041 0.840
F 0.959 0.800 0.759